[1]
For CsZnTe2O8, DFT lattice parameters and positions (GGA-PBE) gives the simulated PXRD pattern in this record (Cu Kα (λ = 1.5418 Å)).
Peak positions follow from Bragg's law for the DFT cell and can differ from measured ones.

Atomic structure:
a b c (Å): 5.4156 5.4156 9.1938
angles (deg): 90.00 90.00 120.00
Space group P-3 (No. 147)
One atom of each set of equivalent atoms:
Cs (0.0000, 0.0000, 0.0000) x1
Zn (0.0000, 0.0000, 0.5000) x1
Te (0.3333, 0.6667, 0.6867) x2
O (0.0235, 0.3177, 0.6333) x6
O (0.3333, 0.6667, 0.8868) x2

Peak list (8 most intense, 10° ≤ 2θ ≤ 90°, in order of falling intensity)
2θ (°), d_spacing, I/Imax, (hkl)
21.27, 4.178, 100.0, 1 0 1
27.16, 3.283, 93.0, 0 1 2
33.08, 2.708, 53.4, 1 1 0
43.31, 2.089, 25.2, 2 0 2
55.56, 1.654, 25.1, 3 -2 2
43.87, 2.064, 24.1, 1 0 4
39.66, 2.272, 18.0, 0 2 1
52.58, 1.741, 16.9, 2 1 1

***

[2]
For CsSbS2O8, DFT lattice parameters and positions (GGA-PBE) gives the simulated PXRD pattern in this record (Cu Kα (λ = 1.5418 Å)).
Peak positions follow from Bragg's law for the DFT cell and can differ from measured ones.

Atomic structure:
a b c (Å): 5.314 9.882 15.514
angles (deg): 90.00 90.00 90.00
Space group P2_12_12_1 (No. 19)
One atom of each set of equivalent atoms:
Cs (0.248, 0.167, 0.262) x4
Sb (0.211, 0.512, 0.480) x4
S (0.234, 0.173, 0.903) x4
S (0.245, 0.151, 0.585) x4
O (0.001, 0.869, 0.399) x4
O (0.011, 0.072, 0.609) x4
O (0.029, 0.938, 0.118) x4
O (0.079, 0.118, 0.835) x4
O (0.128, 0.142, 0.991) x4
O (0.220, 0.330, 0.893) x4
O (0.229, 0.838, 0.991) x4
O (0.249, 0.722, 0.132) x4

Peak list (8 most intense, 10° ≤ 2θ ≤ 90°, in order of falling intensity)
2θ (°), d_spacing, I/Imax, (hkl)
25.67, 3.470, 100.0, 1 1 3
22.18, 4.007, 80.3, 1 1 2
31.97, 2.800, 71.8, 1 3 0
21.32, 4.167, 49.6, 0 2 2
24.92, 3.573, 47.5, 0 2 3
39.70, 2.270, 42.2, 1 3 4
33.73, 2.657, 26.7, 2 0 0
39.83, 2.263, 19.3, 1 1 6

***

[3]
For BaGaSbSe4, DFT lattice parameters and positions (GGA-PBE) gives the simulated PXRD pattern in this record (Cu Kα (λ = 1.5418 Å)).
Peak positions follow from Bragg's law for the DFT cell and can differ from measured ones.

Atomic structure:
a b c (Å): 7.364 7.150 8.873
angles (deg): 90.00 107.45 90.00
Space group P2_1/m (No. 11)
One atom of each set of equivalent atoms:
Ba (0.242, 0.250, 0.457) x2
Ga (0.241, 0.750, 0.184) x2
Sb (0.272, 0.250, 0.009) x2
Se (0.044, 0.750, 0.908) x2
Se (0.105, 0.750, 0.393) x2
Se (0.467, 0.009, 0.224) x4

Peak list (8 most intense, 10° ≤ 2θ ≤ 90°, in order of falling intensity)
2θ (°), d_spacing, I/Imax, (hkl)
30.42, 2.939, 100.0, 1 1 2
32.80, 2.731, 95.8, 0 2 2
27.71, 3.220, 94.9, 2 0 -2
28.01, 3.186, 65.8, 1 2 0
35.84, 2.506, 58.0, 2 2 0
24.91, 3.575, 56.1, 0 2 0
40.03, 2.252, 44.0, 3 1 -2
50.12, 1.820, 40.2, 2 2 -4

***

[4]
For PmLuHgIr, DFT lattice parameters and positions (GGA-PBE) gives the simulated PXRD pattern in this record (Cu Kα (λ = 1.5418 Å)).
Peak positions follow from Bragg's law for the DFT cell and can differ from measured ones.

Atomic structure:
a b c (Å): 7.152 7.152 7.152
angles (deg): 90.00 90.00 90.00
Space group F-43m (No. 216)
One atom of each set of equivalent atoms:
Pm (0.000, 0.000, 0.000) x4
Lu (0.000, 0.000, 0.500) x4
Hg (0.250, 0.250, 0.750) x4
Ir (0.250, 0.250, 0.250) x4

Peak list (7 most intense, 10° ≤ 2θ ≤ 90°, in order of falling intensity)
2θ (°), d_spacing, I/Imax, (hkl)
35.50, 2.529, 100.0, 2 2 0
63.75, 1.460, 37.1, 4 2 2
51.09, 1.788, 18.0, 4 0 0
85.96, 1.131, 16.9, 6 2 0
75.15, 1.264, 11.6, 4 4 0
24.90, 3.576, 1.1, 2 0 0
57.64, 1.599, 0.5, 4 2 0

***

[5]
For Sc2TaFe, DFT lattice parameters and positions (GGA-PBE) gives the simulated PXRD pattern in this record (Cu Kα (λ = 1.5418 Å)).
Peak positions follow from Bragg's law for the DFT cell and can differ from measured ones.

Atomic structure:
a b c (Å): 3.162 4.594 9.704
angles (deg): 90.00 90.00 90.00
Space group Immm (No. 71)
One atom of each set of equivalent atoms:
Sc (0.000, 0.000, 0.210) x4
Ta (0.000, 0.500, 0.000) x2
Fe (0.000, 0.500, 0.500) x2

Peak list (8 most intense, 10° ≤ 2θ ≤ 90°, in order of falling intensity)
2θ (°), d_spacing, I/Imax, (hkl)
39.25, 2.295, 100.0, 0 2 0
18.29, 4.852, 33.2, 0 0 2
33.89, 2.645, 19.4, 0 1 3
37.06, 2.426, 18.9, 0 0 4
29.71, 3.007, 16.7, 1 0 1
21.40, 4.152, 16.5, 0 1 1
71.10, 1.326, 15.8, 1 3 2
51.48, 1.775, 13.4, 1 1 4

***

[6]
For CaInClO2, DFT lattice parameters and positions (GGA-PBE) gives the simulated PXRD pattern in this record (Cu Kα (λ = 1.5418 Å)).
Peak positions follow from Bragg's law for the DFT cell and can differ from measured ones.

Atomic structure:
a b c (Å): 6.697 4.017 8.510
angles (deg): 90.00 109.06 90.00
Space group P2_1/m (No. 11)
One atom of each set of equivalent atoms:
Ca (0.161, 0.250, 0.155) x2
In (0.101, 0.250, 0.659) x2
Cl (0.500, 0.250, 0.752) x2
O (0.022, 0.250, 0.875) x2
O (0.033, 0.250, 0.393) x2

Peak list (8 most intense, 10° ≤ 2θ ≤ 90°, in order of falling intensity)
2θ (°), d_spacing, I/Imax, (hkl)
13.99, 6.330, 100.0, 1 0 0
31.43, 2.846, 55.4, 1 1 -2
26.28, 3.392, 43.0, 1 1 0
24.77, 3.594, 41.1, 0 1 1
36.13, 2.486, 39.3, 2 1 0
14.71, 6.021, 28.6, 1 0 -1
22.10, 4.022, 25.6, 0 0 2
45.13, 2.009, 23.3, 0 2 0

***

[7]
For Nd2HoSb4, DFT lattice parameters and positions (GGA-PBE) gives the simulated PXRD pattern in this record (Cu Kα (λ = 1.5418 Å)).
Peak positions follow from Bragg's law for the DFT cell and can differ from measured ones.

Atomic structure:
a b c (Å): 4.345 4.345 11.755
angles (deg): 90.00 90.00 90.00
Space group P-4m2 (No. 115)
One atom of each set of equivalent atoms:
Nd (0.000, 0.500, 0.211) x2
Ho (0.000, 0.000, 0.500) x1
Sb (0.000, 0.000, 0.000) x1
Sb (0.000, 0.500, 0.679) x2
Sb (0.500, 0.500, 0.000) x1

Peak list (8 most intense, 10° ≤ 2θ ≤ 90°, in order of falling intensity)
2θ (°), d_spacing, I/Imax, (hkl)
32.89, 2.723, 100.0, 1 1 2
25.49, 3.494, 39.2, 1 0 2
41.57, 2.173, 35.0, 2 0 0
36.93, 2.434, 28.3, 1 0 4
70.37, 1.338, 21.8, 3 1 2
56.80, 1.621, 16.1, 2 1 4
21.81, 4.076, 12.9, 1 0 1
49.40, 1.845, 12.9, 2 1 2

***

Repeat the fifth record exactly.
For Sc2TaFe, DFT lattice parameters and positions (GGA-PBE) gives the simulated PXRD pattern in this record (Cu Kα (λ = 1.5418 Å)).
Peak positions follow from Bragg's law for the DFT cell and can differ from measured ones.

Atomic structure:
a b c (Å): 3.162 4.594 9.704
angles (deg): 90.00 90.00 90.00
Space group Immm (No. 71)
One atom of each set of equivalent atoms:
Sc (0.000, 0.000, 0.210) x4
Ta (0.000, 0.500, 0.000) x2
Fe (0.000, 0.500, 0.500) x2

Peak list (8 most intense, 10° ≤ 2θ ≤ 90°, in order of falling intensity)
2θ (°), d_spacing, I/Imax, (hkl)
39.25, 2.295, 100.0, 0 2 0
18.29, 4.852, 33.2, 0 0 2
33.89, 2.645, 19.4, 0 1 3
37.06, 2.426, 18.9, 0 0 4
29.71, 3.007, 16.7, 1 0 1
21.40, 4.152, 16.5, 0 1 1
71.10, 1.326, 15.8, 1 3 2
51.48, 1.775, 13.4, 1 1 4